Starting from a structure optimized by DFT (GGA+U), the X-ray diffraction stick pattern of MgMn2Se4O12 was simulated for Cu Kα, 1.54184 Å.

Structural model:
Cell lengths 5.211, 6.593, 8.368 Å; angles 82.23, 85.70, 89.52 degrees
Atoms (fractional coordinates):
Mg  0.000  0.000  0.000
Mn  0.499  0.000  0.500
Mn  0.999  0.500  0.000
Se  0.027  0.189  0.328
Se  0.483  0.282  0.824
Se  0.516  0.718  0.177
Se  0.971  0.810  0.673
O  0.053  0.569  0.767
O  0.195  0.827  0.506
O  0.237  0.267  0.992
O  0.251  0.776  0.067
O  0.302  0.245  0.416
O  0.398  0.060  0.760
O  0.600  0.940  0.241
O  0.696  0.755  0.585
O  0.748  0.224  0.933
O  0.762  0.733  0.009
O  0.804  0.172  0.495
O  0.945  0.431  0.234

Top 10 peaks for 10 to 90 degrees two-theta, low angle first:
(0 1 1), d = 5.499 Å, 16.1°, intensity 46; (1 1 1), d = 3.871 Å, 23.0°, intensity 81; (0 1 2), d = 3.728 Å, 23.9°, intensity 100; (-1 1 1), d = 3.690 Å, 24.1°, intensity 67; (1 -1 1), d = 3.615 Å, 24.6°, intensity 65; (1 1 -1), d = 3.457 Å, 25.8°, intensity 64; (0 1 -2), d = 3.298 Å, 27.0°, intensity 50; (1 2 1), d = 2.750 Å, 32.6°, intensity 48; (1 0 3), d = 2.512 Å, 35.7°, intensity 54; (1 0 -3), d = 2.363 Å, 38.1°, intensity 68

Starting from a structure optimized by DFT (GGA+U), the X-ray diffraction stick pattern of BaCuWO5 was simulated for Cu Kα, 1.54184 Å.

Structural model:
Cell lengths 3.838, 3.838, 8.992 Å; angles 90.00, 90.00, 90.00 degrees
Atoms (fractional coordinates):
Ba  0.000  0.000  0.000
Cu  0.500  0.500  0.219
W  0.500  0.500  0.622
O  0.000  0.500  0.182
O  0.000  0.500  0.587
O  0.500  0.000  0.182
O  0.500  0.000  0.587
O  0.500  0.500  0.820

Top 10 peaks for 10 to 90 degrees two-theta, low angle first:
(0 0 2), d = 4.496 Å, 19.7°, intensity 48; (1 0 1), d = 3.530 Å, 25.2°, intensity 100; (1 0 2), d = 2.919 Å, 30.6°, intensity 75; (1 1 0), d = 2.714 Å, 33.0°, intensity 44; (1 0 3), d = 2.362 Å, 38.1°, intensity 21; (1 1 3), d = 2.012 Å, 45.1°, intensity 25; (1 0 4), d = 1.940 Å, 46.8°, intensity 21; (2 0 0), d = 1.919 Å, 47.4°, intensity 30; (2 1 1), d = 1.686 Å, 54.4°, intensity 25; (2 1 2), d = 1.604 Å, 57.5°, intensity 25

Copy entry 2 word for word.
Starting from a structure optimized by DFT (GGA+U), the X-ray diffraction stick pattern of BaCuWO5 was simulated for Cu Kα, 1.54184 Å.

Structural model:
Cell lengths 3.838, 3.838, 8.992 Å; angles 90.00, 90.00, 90.00 degrees
Atoms (fractional coordinates):
Ba  0.000  0.000  0.000
Cu  0.500  0.500  0.219
W  0.500  0.500  0.622
O  0.000  0.500  0.182
O  0.000  0.500  0.587
O  0.500  0.000  0.182
O  0.500  0.000  0.587
O  0.500  0.500  0.820

Top 10 peaks for 10 to 90 degrees two-theta, low angle first:
(0 0 2), d = 4.496 Å, 19.7°, intensity 48; (1 0 1), d = 3.530 Å, 25.2°, intensity 100; (1 0 2), d = 2.919 Å, 30.6°, intensity 75; (1 1 0), d = 2.714 Å, 33.0°, intensity 44; (1 0 3), d = 2.362 Å, 38.1°, intensity 21; (1 1 3), d = 2.012 Å, 45.1°, intensity 25; (1 0 4), d = 1.940 Å, 46.8°, intensity 21; (2 0 0), d = 1.919 Å, 47.4°, intensity 30; (2 1 1), d = 1.686 Å, 54.4°, intensity 25; (2 1 2), d = 1.604 Å, 57.5°, intensity 25

Please write out number 2 again, unchanged.
Starting from a structure optimized by DFT (GGA+U), the X-ray diffraction stick pattern of BaCuWO5 was simulated for Cu Kα, 1.54184 Å.

Structural model:
Cell lengths 3.838, 3.838, 8.992 Å; angles 90.00, 90.00, 90.00 degrees
Atoms (fractional coordinates):
Ba  0.000  0.000  0.000
Cu  0.500  0.500  0.219
W  0.500  0.500  0.622
O  0.000  0.500  0.182
O  0.000  0.500  0.587
O  0.500  0.000  0.182
O  0.500  0.000  0.587
O  0.500  0.500  0.820

Top 10 peaks for 10 to 90 degrees two-theta, low angle first:
(0 0 2), d = 4.496 Å, 19.7°, intensity 48; (1 0 1), d = 3.530 Å, 25.2°, intensity 100; (1 0 2), d = 2.919 Å, 30.6°, intensity 75; (1 1 0), d = 2.714 Å, 33.0°, intensity 44; (1 0 3), d = 2.362 Å, 38.1°, intensity 21; (1 1 3), d = 2.012 Å, 45.1°, intensity 25; (1 0 4), d = 1.940 Å, 46.8°, intensity 21; (2 0 0), d = 1.919 Å, 47.4°, intensity 30; (2 1 1), d = 1.686 Å, 54.4°, intensity 25; (2 1 2), d = 1.604 Å, 57.5°, intensity 25